[1]
For BaU2O7, a structure optimized by DFT (GGA-PBE) gives the theoretical powder XRD pattern in this record (Cu Kα, 1.54184 Å).

Cell and atoms:
```
BaU2O7
1.0
-3.5983 3.5983 6.1398
3.5983 -3.5983 6.1398
3.5983 3.5983 -6.1398
Ba U O
2 4 14
Direct
0.3750 0.6250 0.7500 Ba
0.6250 0.3750 0.2500 Ba
0.0000 0.0000 0.0000 U
0.0000 0.0000 0.5000 U
0.0000 0.5000 0.0000 U
0.5000 0.0000 0.5000 U
0.0000 0.2638 0.2638 O
0.0000 0.7362 0.7362 O
0.0926 0.3426 0.7500 O
0.1250 0.8750 0.2500 O
0.2638 0.0000 0.7638 O
0.2638 0.5000 0.2638 O
0.3426 0.0926 0.2500 O
0.5000 0.2638 0.7638 O
0.5000 0.7362 0.2362 O
0.6574 0.9074 0.7500 O
0.7362 0.0000 0.2362 O
0.7362 0.5000 0.7362 O
0.8750 0.1250 0.7500 O
0.9074 0.6574 0.2500 O
```

Main lines, sorted by position (15 to 90 degrees two-theta):
2θ/deg	d [Å]	intensity
25.03	3.558	37
28.72	3.109	100
38.74	2.324	10
43.74	2.070	9
46.07	1.970	14
46.35	1.959	23
50.74	1.799	13
51.36	1.779	11
57.39	1.606	8
59.37	1.557	15



[2]
For SrCaNi8Sn4, a structure optimized by DFT (GGA-PBE) gives the theoretical powder XRD pattern in this record (Cu Kα, 1.54184 Å).

Cell and atoms:
```
SrCaNi8Sn4
1.0
-3.9052 3.9052 3.9222
3.9052 -3.9052 3.9222
3.9052 3.9052 -3.9222
Sr Ca Ni Sn
1 1 8 4
Direct
0.0000 0.0000 0.0000 Sr
0.5000 0.5000 0.0000 Ca
0.0549 0.5503 0.7774 Ni
0.2271 0.4497 0.5046 Ni
0.2775 0.0549 0.5046 Ni
0.4497 0.9451 0.2226 Ni
0.5503 0.7729 0.4954 Ni
0.7225 0.2271 0.7774 Ni
0.7729 0.2775 0.2226 Ni
0.9451 0.7225 0.4954 Ni
0.0916 0.5916 0.1831 Sn
0.4084 0.9084 0.8169 Sn
0.5916 0.4084 0.5000 Sn
0.9084 0.0916 0.5000 Sn
```

Main lines, sorted by position (15 to 90 degrees two-theta):
2θ/deg	d [Å]	intensity
16.05	5.523	29
27.94	3.193	25
32.37	2.766	20
36.38	2.470	65
43.22	2.093	100
46.51	1.953	16
49.51	1.841	22
55.08	1.667	17
60.32	1.534	16
74.87	1.268	27



[3]
For Sm11Fe12C18, a structure optimized by DFT (GGA-PBE) gives the theoretical powder XRD pattern in this record (Cu Kα, 1.54184 Å).

Cell and atoms:
```
Sm11Fe12C18
1.0
-5.1694 5.1694 5.1694
5.1694 -5.1694 5.1694
5.1694 5.1694 -5.1694
Sm Fe C
11 12 18
Direct
0.0000 0.0000 0.0000 Sm
0.0000 0.0000 0.5937 Sm
0.0000 0.5937 0.0000 Sm
0.2500 0.5000 0.7500 Sm
0.2500 0.7500 0.5000 Sm
0.4063 0.4063 0.4063 Sm
0.5000 0.2500 0.7500 Sm
0.5000 0.7500 0.2500 Sm
0.5937 0.0000 0.0000 Sm
0.7500 0.2500 0.5000 Sm
0.7500 0.5000 0.2500 Sm
0.0000 0.1990 0.3598 Fe
0.0000 0.3598 0.1990 Fe
0.1608 0.8010 0.8010 Fe
0.1990 0.0000 0.3598 Fe
0.1990 0.3598 0.0000 Fe
0.3598 0.0000 0.1990 Fe
0.3598 0.1990 0.0000 Fe
0.6402 0.6402 0.8392 Fe
0.6402 0.8392 0.6402 Fe
0.8010 0.1608 0.8010 Fe
0.8010 0.8010 0.1608 Fe
0.8392 0.6402 0.6402 Fe
0.0000 0.2951 0.7953 C
0.0000 0.4312 0.4312 C
0.0000 0.5688 0.5688 C
0.0000 0.7953 0.2951 C
0.2047 0.2047 0.4999 C
0.2047 0.4999 0.2047 C
0.2951 0.0000 0.7953 C
0.2951 0.7953 0.0000 C
0.4312 0.0000 0.4312 C
0.4312 0.4312 0.0000 C
0.4999 0.2047 0.2047 C
0.5001 0.7049 0.7049 C
0.5688 0.0000 0.5688 C
0.5688 0.5688 0.0000 C
0.7049 0.5001 0.7049 C
0.7049 0.7049 0.5001 C
0.7953 0.0000 0.2951 C
0.7953 0.2951 0.0000 C
```

Main lines, sorted by position (15 to 90 degrees two-theta):
2θ/deg	d [Å]	intensity
29.94	2.985	66
32.40	2.763	100
34.71	2.585	48
36.89	2.437	54
40.94	2.204	20
49.90	1.828	22
51.54	1.773	16
54.73	1.677	47
66.45	1.407	31
75.89	1.254	15



[4]
For Tb3Al6Ag5, a structure optimized by DFT (GGA-PBE) gives the theoretical powder XRD pattern in this record (Cu Kα, 1.54184 Å).

Cell and atoms:
```
Tb3Al6Ag5
1.0
-2.2081 4.8741 6.4667
2.2081 -4.8741 6.4667
2.2081 4.8741 -6.4667
Tb Al Ag
3 6 5
Direct
0.0000 0.0000 0.0000 Tb
0.2967 0.2967 0.0000 Tb
0.7033 0.7033 0.0000 Tb
0.1465 0.8645 0.2820 Al
0.3113 0.5000 0.8113 Al
0.4174 0.1355 0.2820 Al
0.5826 0.8645 0.7180 Al
0.6887 0.5000 0.1887 Al
0.8535 0.1355 0.7180 Al
0.0180 0.6608 0.3572 Ag
0.3036 0.6608 0.6428 Ag
0.5000 0.0000 0.5000 Ag
0.6964 0.3392 0.3572 Ag
0.9820 0.3392 0.6428 Ag
```

Main lines, sorted by position (15 to 90 degrees two-theta):
2θ/deg	d [Å]	intensity
18.20	4.874	26
28.94	3.085	100
33.25	2.694	27
34.26	2.617	58
34.40	2.607	55
34.57	2.595	45
35.62	2.520	25
37.06	2.426	32
40.87	2.208	42
54.57	1.682	24



[5]
For Tm3Al12Ru4, a structure optimized by DFT (GGA-PBE) gives the theoretical powder XRD pattern in this record (Cu Kα, 1.54184 Å).

Cell and atoms:
```
Tm3Al12Ru4
1.0
8.7546 0.0000 0.0000
-4.3773 7.5817 0.0000
0.0000 0.0000 9.5641
Tm Al Ru
6 24 8
Direct
0.1946 0.3891 0.2500 Tm
0.1946 0.8054 0.2500 Tm
0.3891 0.1946 0.7500 Tm
0.6109 0.8054 0.2500 Tm
0.8054 0.1946 0.7500 Tm
0.8054 0.6109 0.7500 Tm
0.0000 0.0000 0.2500 Al
0.0000 0.0000 0.7500 Al
0.1229 0.5615 0.7500 Al
0.1627 0.3254 0.5778 Al
0.1627 0.3254 0.9222 Al
0.1627 0.8373 0.5778 Al
0.1627 0.8373 0.9222 Al
0.3254 0.1627 0.0778 Al
0.3254 0.1627 0.4222 Al
0.3333 0.6667 0.0182 Al
0.3333 0.6667 0.4818 Al
0.4385 0.5615 0.7500 Al
0.4385 0.8771 0.7500 Al
0.5615 0.1229 0.2500 Al
0.5615 0.4385 0.2500 Al
0.6667 0.3333 0.5182 Al
0.6667 0.3333 0.9818 Al
0.6746 0.8373 0.5778 Al
0.6746 0.8373 0.9222 Al
0.8373 0.1627 0.0778 Al
0.8373 0.1627 0.4222 Al
0.8373 0.6746 0.0778 Al
0.8373 0.6746 0.4222 Al
0.8771 0.4385 0.2500 Al
0.0000 0.0000 0.0000 Ru
0.0000 0.0000 0.5000 Ru
0.0000 0.5000 0.0000 Ru
0.0000 0.5000 0.5000 Ru
0.5000 0.0000 0.0000 Ru
0.5000 0.0000 0.5000 Ru
0.5000 0.5000 0.0000 Ru
0.5000 0.5000 0.5000 Ru
```

Main lines, sorted by position (15 to 90 degrees two-theta):
2θ/deg	d [Å]	intensity
25.27	3.524	59
30.08	2.971	96
31.21	2.866	22
36.56	2.458	36
36.82	2.441	100
37.62	2.391	36
41.25	2.189	77
57.05	1.614	35
60.68	1.526	20
63.30	1.469	22



[6]
For Pm3Be2Co7, a structure optimized by DFT (GGA-PBE) gives the theoretical powder XRD pattern in this record (Cu Kα, 1.54184 Å).

Cell and atoms:
```
Pm3Be2Co7
1.0
2.5210 1.4555 7.7930
-2.5210 1.4555 7.7930
0.0000 -2.9110 7.7930
Pm Be Co
3 2 7
Direct
0.0000 0.0000 0.0000 Pm
0.1404 0.1404 0.1404 Pm
0.8596 0.8596 0.8596 Pm
0.3332 0.3332 0.3332 Be
0.6668 0.6668 0.6668 Be
0.0787 0.5746 0.5746 Co
0.4254 0.4254 0.9213 Co
0.4254 0.9213 0.4254 Co
0.5000 0.5000 0.5000 Co
0.5746 0.0787 0.5746 Co
0.5746 0.5746 0.0787 Co
0.9213 0.4254 0.4254 Co
```

Main lines, sorted by position (15 to 90 degrees two-theta):
2θ/deg	d [Å]	intensity
20.69	4.292	29
33.79	2.653	93
35.61	2.521	51
37.01	2.429	77
41.54	2.174	77
42.72	2.117	100
62.80	1.480	30
64.88	1.437	29
71.08	1.326	34
75.41	1.261	27



[7]
For Tb11O20, a structure optimized by DFT (GGA-PBE) gives the theoretical powder XRD pattern in this record (Cu Kα, 1.54184 Å).

Cell and atoms:
```
Tb11O20
1.0
6.5127 0.0000 0.0000
-1.3458 6.5886 0.0000
-0.7542 -0.5033 10.3274
Tb O
11 20
Direct
0.0000 0.0000 0.0000 Tb
0.1012 0.1827 0.3843 Tb
0.1788 0.3500 0.7447 Tb
0.2865 0.5831 0.0788 Tb
0.3547 0.7388 0.4376 Tb
0.4134 0.9039 0.8069 Tb
0.5866 0.0961 0.1930 Tb
0.6453 0.2612 0.5624 Tb
0.7135 0.4169 0.9212 Tb
0.8212 0.6500 0.2553 Tb
0.8988 0.8173 0.6157 Tb
0.0371 0.8326 0.4245 O
0.0598 0.3302 0.9500 O
0.0900 0.9808 0.7940 O
0.1443 0.4958 0.2767 O
0.1978 0.6661 0.6529 O
0.3278 0.9309 0.0346 O
0.3359 0.4183 0.5297 O
0.4222 0.0939 0.3836 O
0.4422 0.5959 0.8849 O
0.4873 0.2386 0.7530 O
0.5127 0.7614 0.2470 O
0.5578 0.4041 0.1151 O
0.5778 0.9061 0.6164 O
0.6641 0.5817 0.4703 O
0.6722 0.0691 0.9654 O
0.8022 0.3339 0.3471 O
0.8557 0.5042 0.7233 O
0.9100 0.0192 0.2060 O
0.9402 0.6698 0.0500 O
0.9629 0.1674 0.5755 O
```

Main lines, sorted by position (15 to 90 degrees two-theta):
2θ/deg	d [Å]	intensity
28.06	3.180	50
28.46	3.136	50
28.61	3.121	100
31.71	2.822	21
33.03	2.712	24
34.07	2.631	20
46.15	1.967	17
46.75	1.943	30
47.95	1.897	15
48.42	1.880	16



[8]
For AlPI8, a structure optimized by DFT (GGA-PBE) gives the theoretical powder XRD pattern in this record (Cu Kα, 1.54184 Å).

Cell and atoms:
```
AlPI8
1.0
12.1488 0.0000 0.0000
0.0000 11.5743 0.0000
0.0000 0.0000 16.3593
Al P I
4 4 32
Direct
0.0474 0.0022 0.0000 Al
0.4526 0.5022 0.5000 Al
0.5474 0.4978 0.0000 Al
0.9526 0.9978 0.5000 Al
0.0240 0.4919 0.7569 P
0.4760 0.9919 0.2569 P
0.5240 0.0081 0.7569 P
0.9760 0.5081 0.2569 P
0.0170 0.3751 0.1428 I
0.0243 0.2927 0.7030 I
0.0299 0.0935 0.3703 I
0.0775 0.2189 0.9745 I
0.0778 0.0245 0.6246 I
0.1108 0.4773 0.3683 I
0.2100 0.5307 0.8116 I
0.2326 0.9019 0.0284 I
0.2674 0.4019 0.5284 I
0.2900 0.0307 0.3116 I
0.3892 0.9773 0.8683 I
0.4222 0.5245 0.1246 I
0.4225 0.7189 0.4745 I
0.4701 0.5935 0.8703 I
0.4757 0.7927 0.2030 I
0.4830 0.8751 0.6428 I
0.5170 0.1249 0.1428 I
0.5243 0.2073 0.7030 I
0.5299 0.4065 0.3703 I
0.5775 0.2811 0.9745 I
0.5778 0.4755 0.6246 I
0.6108 0.0227 0.3683 I
0.7100 0.9693 0.8116 I
0.7326 0.5981 0.0284 I
0.7674 0.0981 0.5284 I
0.7900 0.4693 0.3116 I
0.8892 0.5227 0.8683 I
0.9222 0.9755 0.1246 I
0.9225 0.7811 0.4745 I
0.9701 0.9065 0.8703 I
0.9757 0.7073 0.2030 I
0.9830 0.6249 0.6428 I
```

Main lines, sorted by position (15 to 90 degrees two-theta):
2θ/deg	d [Å]	intensity
15.14	5.853	68
19.42	4.571	76
21.90	4.058	89
23.23	3.829	55
23.69	3.755	84
23.90	3.722	51
25.73	3.463	66
26.27	3.393	69
26.58	3.354	100
26.69	3.340	73



[9]
For RbIO2F2, a structure optimized by DFT (GGA-PBE) gives the theoretical powder XRD pattern in this record (Cu Kα, 1.54184 Å).

Cell and atoms:
```
RbIO2F2
1.0
8.6836 0.0000 0.0000
0.0000 6.2903 0.0000
0.0000 0.0000 8.7612
Rb I O F
4 4 8 8
Direct
0.2075 0.0285 0.0000 Rb
0.2925 0.0285 0.5000 Rb
0.7075 0.9715 0.0000 Rb
0.7925 0.9715 0.5000 Rb
0.0090 0.4493 0.7213 I
0.4910 0.4493 0.2213 I
0.5090 0.5507 0.7213 I
0.9910 0.5507 0.2213 I
0.0278 0.6292 0.0267 O
0.2057 0.3617 0.7456 O
0.2943 0.3617 0.2456 O
0.4722 0.6292 0.5267 O
0.5278 0.3708 0.0267 O
0.7057 0.6383 0.7456 O
0.7943 0.6383 0.2456 O
0.9722 0.3708 0.5267 O
0.0692 0.8428 0.2985 F
0.0727 0.7485 0.6560 F
0.4273 0.7485 0.1560 F
0.4308 0.8428 0.7985 F
0.5692 0.1572 0.2985 F
0.5727 0.2515 0.6560 F
0.9273 0.2515 0.1560 F
0.9308 0.1572 0.7985 F
```

Main lines, sorted by position (15 to 90 degrees two-theta):
2θ/deg	d [Å]	intensity
20.16	4.404	17
24.77	3.595	100
24.92	3.573	90
28.38	3.145	21
28.95	3.084	60
31.94	2.802	16
40.99	2.202	35
48.15	1.890	19
48.77	1.867	26
49.02	1.858	19



[10]
For RbCuMo, a structure optimized by DFT (GGA-PBE) gives the theoretical powder XRD pattern in this record (Cu Kα, 1.54184 Å).

Cell and atoms:
```
RbCuMo
1.0
3.6520 0.0000 0.0000
0.0000 3.6317 0.0000
-0.1914 0.0000 12.9318
Rb Cu Mo
2 2 2
Direct
0.0000 0.0000 0.0000 Rb
0.4956 0.5000 0.3528 Rb
0.0114 0.5000 0.5802 Cu
0.5118 0.0000 0.5805 Cu
0.0199 0.0000 0.7279 Mo
0.5200 0.5000 0.7476 Mo
```

Main lines, sorted by position (15 to 90 degrees two-theta):
2θ/deg	d [Å]	intensity
20.60	4.311	77
25.47	3.498	59
28.20	3.164	54
34.68	2.586	56
34.84	2.575	44
37.45	2.401	53
37.74	2.384	53
40.62	2.221	100
41.02	2.201	85
50.25	1.816	49